MoO2: computed XRD peak list (Cu Ka), based on a DFT-relaxed cell (GGA+U, the Materials Project).
No peak broadening, texture or thermal motion is included.

Atomic structure:
a b c (Å): 5.274 5.274 10.504
angles (deg): 90.00 90.00 144.79
Atoms (fractional coordinates):
1 Mo 0.133 0.867 0.575
2 Mo 0.133 0.867 0.925
3 Mo 0.867 0.133 0.075
4 Mo 0.867 0.133 0.425
5 O 0.080 0.920 0.750
6 O 0.240 0.760 0.098
7 O 0.240 0.760 0.402
8 O 0.500 0.500 0.000
9 O 0.500 0.500 0.500
10 O 0.760 0.240 0.598
11 O 0.760 0.240 0.902
12 O 0.920 0.080 0.250

Peak list (10 most intense, 10° ≤ 2θ ≤ 90°, sorted by position)
| 2θ/deg | I/Imax |
| --- | --- |
| 16.88 | 100.0 |
| 19.58 | 89.4 |
| 29.38 | 54.7 |
| 31.13 | 81.9 |
| 38.98 | 46.6 |
| 39.24 | 31.2 |
| 42.76 | 27.4 |
| 47.13 | 27.0 |
| 60.51 | 30.3 |
| 67.11 | 28.9 |

***

MgV4As2O13: computed XRD peak list (Cu Ka), based on a DFT-relaxed cell (GGA+U, the Materials Project).
No peak broadening, texture or thermal motion is included.

Atomic structure:
a b c (Å): 5.183 5.343 10.242
angles (deg): 77.41 79.70 82.33
Atoms (fractional coordinates):
1 Mg 0.000 0.000 0.000
2 V 0.013 0.530 0.864
3 V 0.437 0.019 0.499
4 V 0.652 0.278 0.212
5 V 0.820 0.407 0.557
6 As 0.200 0.771 0.288
7 As 0.494 0.997 0.828
8 O 0.094 0.624 0.448
9 O 0.112 0.119 0.549
10 O 0.274 0.767 0.872
11 O 0.309 0.223 0.911
12 O 0.386 0.579 0.185
13 O 0.393 0.003 0.306
14 O 0.570 0.673 0.541
15 O 0.575 0.114 0.657
16 O 0.683 0.255 0.402
17 O 0.770 0.871 0.897
18 O 0.824 0.346 0.029
19 O 0.909 0.449 0.722
20 O 0.950 0.924 0.200

Peak list (10 most intense, 10° ≤ 2θ ≤ 90°, sorted by position)
| 2θ/deg | I/Imax |
| --- | --- |
| 17.96 | 16.7 |
| 22.63 | 26.4 |
| 23.11 | 18.0 |
| 25.45 | 37.3 |
| 25.73 | 63.5 |
| 27.12 | 100.0 |
| 27.30 | 11.2 |
| 30.84 | 12.1 |
| 33.93 | 13.9 |
| 52.88 | 17.2 |